For Tb3Pr2Ga4, a structure optimized by DFT (GGA-PBE) gives the simulated PXRD pattern in this record (Cu Kα, 1.54184 Å).

Largest 8 diffraction maxima, in order of rising 2θ, 15 to 90 degrees two-theta:
29.2 deg, rel. 17
30.6 deg, rel. 22
31.9 deg, rel. 100
32.1 deg, rel. 41
32.6 deg, rel. 20
34.9 deg, rel. 19
35.5 deg, rel. 31
37.1 deg, rel. 35

Crystal structure
```
Tb3Pr2Ga4
1.0
8.0531 0.0000 0.0000
0.0000 8.0784 0.0000
-2.1704 0.0000 7.3154
Tb Pr Ga
6 4 8
direct
0.0000 0.0000 0.0000
0.0000 0.5000 0.5000
0.2601 0.1748 0.7485
0.2601 0.3252 0.2485
0.7399 0.6748 0.7515
0.7399 0.8252 0.2515
0.3094 0.6811 0.9258
0.3094 0.8189 0.4258
0.6906 0.1811 0.5742
0.6906 0.3189 0.0742
0.0054 0.6194 0.1208
0.0054 0.8806 0.6208
0.4196 0.0312 0.1310
0.4196 0.4688 0.6310
0.5804 0.5312 0.3690
0.5804 0.9688 0.8690
0.9946 0.1194 0.3792
0.9946 0.3806 0.8792
```